(1)
This entry pairs a crystal structure of Ho3Er5Te with its theoretical XRD peak list. Radiation: Cu Kα X-rays. Structure: the GGA-PBE geometry in OQMD.

Main lines, low angle first (10 to 90 degrees two-theta):
| index | d [Å] | Rel. int. |
| --- | --- | --- |
| 2 1 0 | 2.991 | 395 |
| 1 1 1 | 2.896 | 1000 |
| 2 0 1 | 2.719 | 553 |
| 3 0 0 | 2.638 | 784 |
| 2 1 1 | 2.337 | 280 |
| 2 2 1 | 1.950 | 134 |
| 0 0 2 | 1.872 | 158 |
| 3 2 1 | 1.633 | 370 |
| 3 0 2 | 1.526 | 297 |
| 5 0 1 | 1.458 | 130 |

Cell: 9.1376 9.1376 3.7434 Å, 90.00 90.00 120.00°
Space group P-62m (No. 189)
Asymmetric unit:
1 Ho 0.0000 0.6162 0.0000 (multiplicity 3)
2 Er 0.0000 0.2745 0.5000 (multiplicity 3)
3 Er 0.3333 0.6667 0.5000 (multiplicity 2)
4 Te 0.0000 0.0000 0.0000 (multiplicity 1)

---

(2)
This entry pairs a crystal structure of CsZrAgSe2S with its theoretical XRD peak list. Radiation: Cu Kα X-rays. Structure: the GGA-PBE geometry in OQMD.

Main lines, low angle first (10 to 90 degrees two-theta):
| index | d [Å] | Rel. int. |
| --- | --- | --- |
| 1 0 -1 | 8.050 | 719 |
| 2 0 -2 | 4.025 | 250 |
| 1 1 -2 | 3.147 | 248 |
| 2 1 -1 | 3.024 | 1000 |
| 2 1 0 | 2.906 | 481 |
| 1 0 3 | 2.604 | 586 |
| 2 1 1 | 2.581 | 334 |
| 0 1 3 | 2.469 | 325 |
| 0 2 0 | 2.014 | 405 |
| 3 1 -5 | 1.763 | 261 |

Cell: 9.151 4.030 10.225 Å, 90.00 113.55 90.00°
Space group P2_1/m (No. 11)
Asymmetric unit:
1 Cs 0.246 0.250 0.280 (multiplicity 2)
2 Zr 0.310 0.750 0.837 (multiplicity 2)
3 Ag 0.078 0.250 0.606 (multiplicity 2)
4 Se 0.124 0.250 0.875 (multiplicity 2)
5 Se 0.473 0.750 0.136 (multiplicity 2)
6 S 0.240 0.750 0.572 (multiplicity 2)

---

(3)
This entry pairs a crystal structure of BaSrCuSi3 with its theoretical XRD peak list. Radiation: Cu Kα X-rays. Structure: the GGA-PBE geometry in OQMD.

Main lines, low angle first (10 to 90 degrees two-theta):
| index | d [Å] | Rel. int. |
| --- | --- | --- |
| 2 0 2 | 3.604 | 201 |
| 0 2 4 | 2.903 | 518 |
| 2 2 2 | 2.889 | 1000 |
| 0 4 0 | 2.417 | 240 |
| 2 0 6 | 2.091 | 314 |
| 4 0 0 | 2.076 | 156 |
| 4 2 4 | 1.688 | 201 |
| 2 4 6 | 1.581 | 250 |
| 4 4 0 | 1.575 | 124 |
| 0 6 4 | 1.472 | 185 |

Cell: 8.303 9.668 14.519 Å, 90.00 90.00 90.00°
Space group Fmmm (No. 69)
Asymmetric unit:
1 Ba 0.250 0.250 0.250 (multiplicity 8)
2 Sr 0.000 0.244 0.000 (multiplicity 8)
3 Cu 0.000 0.000 0.335 (multiplicity 8)
4 Si 0.000 0.000 0.164 (multiplicity 8)
5 Si 0.247 0.000 0.418 (multiplicity 16)